No. 1
Structure and calculated X-ray powder pattern of CaAs2WO7 (a crystal structure in the Materials Project, relaxed with PBE+U; Cu Kα (weighted mean of Kα1 and Kα2)).

Structural model:
```
data_CaAs2WO7
_cell_length_a 9.6186
_cell_length_b 8.2961
_cell_length_c 11.4832
_cell_angle_alpha 90.00
_cell_angle_beta 125.82
_cell_angle_gamma 90.00
_symmetry_space_group_name_H-M 'P 1 21/c 1'
_symmetry_Int_Tables_number 14
loop_
_symmetry_equiv_pos_as_xyz
'x,y,z'
'-x,-y,-z'
'-x,y+1/2,-z+1/2'
'x,-y+1/2,z+1/2'
loop_
_atom_site_label
_atom_site_type_symbol
_atom_site_fract_x
_atom_site_fract_y
_atom_site_fract_z
Ca1 Ca 0.2188 0.0726 0.1200
As1 As 0.0425 0.7340 0.2135
As2 As 0.4302 0.7248 0.0225
W1 W 0.3295 0.0502 0.7039
O1 O 0.0268 0.5901 0.6232
O2 O 0.2001 0.7044 0.9054
O3 O 0.2044 0.6316 0.1858
O4 O 0.2498 0.1946 0.7715
O5 O 0.2579 0.1688 0.5474
O6 O 0.4360 0.5875 0.6220
O7 O 0.4800 0.5897 0.1653
```

Largest 8 diffraction maxima, low angle first, 2θ from 10° to 90°:
2θ (°)	I_rel
14.4	40.3
19.1	30.4
21.5	56.9
21.7	43.7
22.1	100.0
26.5	88.9
31.5	29.1
34.4	28.8


No. 2
Structure and calculated X-ray powder pattern of MnSi2O5 (a crystal structure in the Materials Project, relaxed with PBE+U; Cu Kα (weighted mean of Kα1 and Kα2)).

Structural model:
```
data_MnSi2O5
_cell_length_a 6.4902
_cell_length_b 8.2262
_cell_length_c 6.6777
_cell_angle_alpha 90.00
_cell_angle_beta 115.07
_cell_angle_gamma 90.00
_symmetry_space_group_name_H-M 'C 1 2/c 1'
_symmetry_Int_Tables_number 15
loop_
_symmetry_equiv_pos_as_xyz
'x,y,z'
'-x,-y,-z'
'-x,y,-z+1/2'
'x,-y,z+1/2'
'x+1/2,y+1/2,z'
'-x+1/2,-y+1/2,-z'
'-x+1/2,y+1/2,-z+1/2'
'x+1/2,-y+1/2,z+1/2'
loop_
_atom_site_label
_atom_site_type_symbol
_atom_site_fract_x
_atom_site_fract_y
_atom_site_fract_z
Mn1 Mn 0.0000 0.1814 0.2500
Si1 Si 0.0000 0.1737 0.7500
Si2 Si 0.0000 0.5000 0.0000
O1 O 0.0000 0.4368 0.2500
O2 O 0.0824 0.2895 0.5963
O3 O 0.1990 0.0466 0.9006
```

Largest 8 diffraction maxima, low angle first, 2θ from 10° to 90°:
2θ (°)	I_rel
29.0	100.0
30.4	93.6
32.2	24.8
36.1	65.0
36.9	34.7
55.3	21.2
57.8	31.5
66.4	22.0


No. 3
Structure and calculated X-ray powder pattern of Li6NiO4 (a crystal structure in the Materials Project, relaxed with PBE+U; Cu Kα (weighted mean of Kα1 and Kα2)).

Structural model:
```
data_Li6NiO4
_cell_length_a 6.5999
_cell_length_b 4.6576
_cell_length_c 6.6010
_cell_angle_alpha 90.00
_cell_angle_beta 90.05
_cell_angle_gamma 90.00
_symmetry_space_group_name_H-M 'P 1 2 1'
_symmetry_Int_Tables_number 3
loop_
_symmetry_equiv_pos_as_xyz
'x,y,z'
'-x,y,-z'
loop_
_atom_site_label
_atom_site_type_symbol
_atom_site_fract_x
_atom_site_fract_y
_atom_site_fract_z
Li1 Li 0.0000 0.0000 0.0000
Li2 Li 0.0000 0.4998 0.0000
Li3 Li 0.2139 0.0535 0.2858
Li4 Li 0.2217 0.0533 0.7221
Li5 Li 0.2783 0.5532 0.2216
Li6 Li 0.2858 0.5529 0.7859
Li7 Li 0.5000 0.1066 0.5000
Li8 Li 0.5000 0.6064 0.5000
Ni1 Ni 0.0000 0.5552 0.5000
Ni2 Ni 0.5000 0.0528 0.0000
O1 O 0.0096 0.7621 0.7642
O2 O 0.2362 0.2615 0.0095
O3 O 0.2635 0.3449 0.5097
O4 O 0.4905 0.8443 0.2637
```

Largest 8 diffraction maxima, low angle first, 2θ from 10° to 90°:
2θ (°)	I_rel
19.0	40.7
23.4	100.0
27.0	23.3
33.3	34.5
36.0	47.9
43.4	28.1
45.6	24.9
55.7	52.6


No. 4
Structure and calculated X-ray powder pattern of MnP2O7 (a crystal structure in the Materials Project, relaxed with PBE+U; Cu Kα (weighted mean of Kα1 and Kα2)).

Structural model:
```
data_MnP2O7
_cell_length_a 5.0502
_cell_length_b 8.2140
_cell_length_c 13.4195
_cell_angle_alpha 90.00
_cell_angle_beta 104.33
_cell_angle_gamma 90.00
_symmetry_space_group_name_H-M 'P 1 21/c 1'
_symmetry_Int_Tables_number 14
loop_
_symmetry_equiv_pos_as_xyz
'x,y,z'
'-x,-y,-z'
'-x,y+1/2,-z+1/2'
'x,-y+1/2,z+1/2'
loop_
_atom_site_label
_atom_site_type_symbol
_atom_site_fract_x
_atom_site_fract_y
_atom_site_fract_z
Mn1 Mn 0.1607 0.1572 0.3728
P1 P 0.0464 0.5467 0.3083
P2 P 0.2372 0.6977 0.9750
O1 O 0.0184 0.1270 0.8411
O2 O 0.0374 0.1742 0.4978
O3 O 0.1775 0.5692 0.2157
O4 O 0.2171 0.6363 0.4086
O5 O 0.2324 0.1328 0.2359
O6 O 0.2928 0.5612 0.9046
O7 O 0.4753 0.7364 0.0666
```

Largest 8 diffraction maxima, low angle first, 2θ from 10° to 90°:
2θ (°)	I_rel
12.7	35.7
17.4	29.1
18.1	71.8
19.8	100.0
22.7	56.4
25.7	35.9
27.6	20.6
31.0	17.4


No. 5
Structure and calculated X-ray powder pattern of MgW2O4F4 (a crystal structure in the Materials Project, relaxed with PBE+U; Cu Kα (weighted mean of Kα1 and Kα2)).

Structural model:
```
data_MgW2O4F4
_cell_length_a 5.5750
_cell_length_b 5.4900
_cell_length_c 9.8300
_cell_angle_alpha 90.00
_cell_angle_beta 90.09
_cell_angle_gamma 90.00
_symmetry_space_group_name_H-M 'C 1 2 1'
_symmetry_Int_Tables_number 5
loop_
_symmetry_equiv_pos_as_xyz
'x,y,z'
'-x,y,-z'
'x+1/2,y+1/2,z'
'-x+1/2,y+1/2,-z'
loop_
_atom_site_label
_atom_site_type_symbol
_atom_site_fract_x
_atom_site_fract_y
_atom_site_fract_z
Mg1 Mg 0.0000 0.0000 0.0000
W1 W 0.2322 0.7322 0.7382
O1 O 0.0015 0.0009 0.2161
O2 O 0.0116 0.4954 0.2512
F1 F 0.2461 0.7371 0.5443
F2 F 0.2455 0.7449 0.9598
```

Largest 8 diffraction maxima, low angle first, 2θ from 10° to 90°:
2θ (°)	I_rel
18.0	37.9
24.5	100.0
35.7	22.5
36.6	13.2
46.4	16.3
52.8	11.2
53.5	11.9
60.5	10.9


No. 6
Structure and calculated X-ray powder pattern of K3VCO8 (a crystal structure in the Materials Project, relaxed with PBE+U; Cu Kα (weighted mean of Kα1 and Kα2)).

Structural model:
```
data_K3VCO8
_cell_length_a 9.1840
_cell_length_b 9.4021
_cell_length_c 5.7118
_cell_angle_alpha 90.00
_cell_angle_beta 123.41
_cell_angle_gamma 90.00
_symmetry_space_group_name_H-M 'C 1 m 1'
_symmetry_Int_Tables_number 8
loop_
_symmetry_equiv_pos_as_xyz
'x,y,z'
'x,-y,z'
'x+1/2,y+1/2,z'
'x+1/2,-y+1/2,z'
loop_
_atom_site_label
_atom_site_type_symbol
_atom_site_fract_x
_atom_site_fract_y
_atom_site_fract_z
K1 K 0.0000 0.0000 0.0000
K2 K 0.4594 0.2168 0.4541
V1 V 0.0927 0.5000 0.0896
C1 C 0.2560 0.0000 0.7409
O1 O 0.0692 0.2929 0.0261
O2 O 0.0906 0.0000 0.5970
O3 O 0.2001 0.5000 0.4387
O4 O 0.2042 0.3602 0.0004
O5 O 0.3480 0.0000 0.0204
O6 O 0.3497 0.0000 0.6339
```

Largest 8 diffraction maxima, low angle first, 2θ from 10° to 90°:
2θ (°)	I_rel
14.9	42.0
18.2	32.8
23.2	36.6
26.6	43.7
27.8	100.0
31.4	38.8
37.7	41.1
38.3	34.9


No. 7
Structure and calculated X-ray powder pattern of La2NiRhO6 (a crystal structure in the Materials Project, relaxed with PBE+U; Cu Kα (weighted mean of Kα1 and Kα2)).

Structural model:
```
data_La2NiRhO6
_cell_length_a 9.6811
_cell_length_b 5.7142
_cell_length_c 9.6906
_cell_angle_alpha 90.00
_cell_angle_beta 109.71
_cell_angle_gamma 90.00
_symmetry_space_group_name_H-M 'P 1 21/c 1'
_symmetry_Int_Tables_number 14
loop_
_symmetry_equiv_pos_as_xyz
'x,y,z'
'-x,-y,-z'
'-x,y+1/2,-z+1/2'
'x,-y+1/2,z+1/2'
loop_
_atom_site_label
_atom_site_type_symbol
_atom_site_fract_x
_atom_site_fract_y
_atom_site_fract_z
La1 La 0.1297 0.0519 0.3809
La2 La 0.3687 0.5526 0.6182
Ni1 Ni 0.0000 0.0000 0.0000
Ni2 Ni 0.5000 0.0000 0.5000
Rh1 Rh 0.2509 0.0007 0.7501
O1 O 0.0819 0.0242 0.8294
O2 O 0.1279 0.7031 0.0796
O3 O 0.1742 0.2095 0.1264
O4 O 0.3246 0.7080 0.8739
O5 O 0.3727 0.2029 0.9216
O6 O 0.4201 0.5249 0.1721
```

Largest 8 diffraction maxima, low angle first, 2θ from 10° to 90°:
2θ (°)	I_rel
31.3	21.8
31.8	100.0
32.1	24.8
45.5	22.7
45.8	14.1
56.1	12.0
57.1	33.8
66.5	14.8


No. 8
Structure and calculated X-ray powder pattern of Li2MnF4 (a crystal structure in the Materials Project, relaxed with PBE+U; Cu Kα (weighted mean of Kα1 and Kα2)).

Structural model:
```
data_Li2MnF4
_cell_length_a 9.4692
_cell_length_b 5.9714
_cell_length_c 5.2837
_cell_angle_alpha 90.00
_cell_angle_beta 90.00
_cell_angle_gamma 90.00
_symmetry_space_group_name_H-M 'P n m a'
_symmetry_Int_Tables_number 62
loop_
_symmetry_equiv_pos_as_xyz
'x,y,z'
'-x,-y,-z'
'-x+1/2,-y,z+1/2'
'x+1/2,y,-z+1/2'
'x+1/2,-y+1/2,-z+1/2'
'-x+1/2,y+1/2,z+1/2'
'-x,y+1/2,-z'
'x,-y+1/2,z'
loop_
_atom_site_label
_atom_site_type_symbol
_atom_site_fract_x
_atom_site_fract_y
_atom_site_fract_z
Li1 Li 0.0000 0.0000 0.0000
Li2 Li 0.2180 0.2500 0.4645
Mn1 Mn 0.1576 0.7500 0.4694
F1 F 0.0481 0.2500 0.6829
F2 F 0.0727 0.7500 0.8243
F3 F 0.1955 0.0079 0.1914
```

Largest 8 diffraction maxima, low angle first, 2θ from 10° to 90°:
2θ (°)	I_rel
24.0	100.0
24.4	85.5
33.1	33.2
35.8	40.5
41.8	45.3
45.2	44.1
49.9	50.5
53.7	33.9


Please write out number 4 again, unchanged.
Structure and calculated X-ray powder pattern of MnP2O7 (a crystal structure in the Materials Project, relaxed with PBE+U; Cu Kα (weighted mean of Kα1 and Kα2)).

Structural model:
```
data_MnP2O7
_cell_length_a 5.0502
_cell_length_b 8.2140
_cell_length_c 13.4195
_cell_angle_alpha 90.00
_cell_angle_beta 104.33
_cell_angle_gamma 90.00
_symmetry_space_group_name_H-M 'P 1 21/c 1'
_symmetry_Int_Tables_number 14
loop_
_symmetry_equiv_pos_as_xyz
'x,y,z'
'-x,-y,-z'
'-x,y+1/2,-z+1/2'
'x,-y+1/2,z+1/2'
loop_
_atom_site_label
_atom_site_type_symbol
_atom_site_fract_x
_atom_site_fract_y
_atom_site_fract_z
Mn1 Mn 0.1607 0.1572 0.3728
P1 P 0.0464 0.5467 0.3083
P2 P 0.2372 0.6977 0.9750
O1 O 0.0184 0.1270 0.8411
O2 O 0.0374 0.1742 0.4978
O3 O 0.1775 0.5692 0.2157
O4 O 0.2171 0.6363 0.4086
O5 O 0.2324 0.1328 0.2359
O6 O 0.2928 0.5612 0.9046
O7 O 0.4753 0.7364 0.0666
```

Largest 8 diffraction maxima, low angle first, 2θ from 10° to 90°:
2θ (°)	I_rel
12.7	35.7
17.4	29.1
18.1	71.8
19.8	100.0
22.7	56.4
25.7	35.9
27.6	20.6
31.0	17.4